(1)
Simulated powder X-ray diffraction pattern of V2O3F for Cu Kα, from a structure optimized by DFT (GGA+U).
Neutral-atom scattering factors, no anomalous dispersion.

a = 4.681 Å, b = 6.073 Å, c = 9.828 Å
α = 72.46°, β = 87.96°, γ = 89.47°
Space group P1 (No. 1)
Symmetry-distinct sites (fractional):
V  0.000  0.000  0.000 (multiplicity 1)
V  0.006  0.219  0.522 (multiplicity 1)
V  0.408  0.608  0.250 (multiplicity 1)
V  0.450  0.113  0.242 (multiplicity 1)
V  0.474  0.854  0.753 (multiplicity 1)
V  0.481  0.370  0.747 (multiplicity 1)
V  0.912  0.752  0.476 (multiplicity 1)
V  0.966  0.483  0.991 (multiplicity 1)
O  0.146  0.035  0.400 (multiplicity 1)
O  0.151  0.803  0.903 (multiplicity 1)
O  0.157  0.532  0.400 (multiplicity 1)
O  0.177  0.282  0.897 (multiplicity 1)
O  0.264  0.419  0.148 (multiplicity 1)
O  0.264  0.898  0.151 (multiplicity 1)
O  0.275  0.160  0.649 (multiplicity 1)
O  0.649  0.806  0.345 (multiplicity 1)
O  0.661  0.565  0.847 (multiplicity 1)
O  0.770  0.942  0.592 (multiplicity 1)
O  0.772  0.165  0.094 (multiplicity 1)
O  0.776  0.442  0.590 (multiplicity 1)
F  0.261  0.665  0.644 (multiplicity 1)
F  0.655  0.322  0.341 (multiplicity 1)
F  0.681  0.065  0.847 (multiplicity 1)
F  0.758  0.685  0.104 (multiplicity 1)

Most intense lines, 2θ from 10° to 90°, in order of rising 2θ:
2theta	d (Å)	intensity
26.46	3.368	95
27.41	3.254	100
35.09	2.558	50
35.38	2.537	46
52.50	1.743	27
52.72	1.736	25
53.36	1.717	29
54.00	1.698	28

(2)
Simulated powder X-ray diffraction pattern of V3O4F2 for Cu Kα, from a structure optimized by DFT (GGA+U).
Neutral-atom scattering factors, no anomalous dispersion.

a = 9.030 Å, b = 4.715 Å, c = 4.704 Å
α = 90.00°, β = 90.00°, γ = 90.00°
Space group Pmn2_1 (No. 31)
Symmetry-distinct sites (fractional):
V  0.000  0.246  0.000 (multiplicity 2)
V  0.154  0.710  0.468 (multiplicity 4)
O  0.000  0.524  0.688 (multiplicity 2)
O  0.000  0.934  0.282 (multiplicity 2)
O  0.171  0.436  0.177 (multiplicity 4)
F  0.171  0.044  0.781 (multiplicity 4)

Most intense lines, 2θ from 10° to 90°, in order of rising 2θ:
2theta	d (Å)	intensity
26.77	3.330	100
35.39	2.536	47
40.39	2.233	24
42.93	2.107	9
53.07	1.726	55
55.16	1.665	18
67.33	1.391	11
68.41	1.371	11

(3)
Simulated powder X-ray diffraction pattern of V6O7F5 for Cu Kα, from a structure optimized by DFT (GGA+U).
Neutral-atom scattering factors, no anomalous dispersion.

a = 4.715 Å, b = 5.636 Å, c = 7.764 Å
α = 86.17°, β = 88.37°, γ = 87.65°
Space group P1 (No. 1)
Symmetry-distinct sites (fractional):
V  0.000  0.000  0.000 (multiplicity 1)
V  0.003  0.668  0.348 (multiplicity 1)
V  0.496  0.507  0.012 (multiplicity 1)
V  0.531  0.844  0.688 (multiplicity 1)
V  0.554  0.194  0.341 (multiplicity 1)
V  0.967  0.338  0.679 (multiplicity 1)
O  0.307  0.464  0.246 (multiplicity 1)
O  0.310  0.803  0.915 (multiplicity 1)
O  0.698  0.883  0.441 (multiplicity 1)
O  0.705  0.536  0.787 (multiplicity 1)
O  0.708  0.208  0.116 (multiplicity 1)
O  0.800  0.377  0.443 (multiplicity 1)
O  0.811  0.041  0.778 (multiplicity 1)
F  0.202  0.639  0.582 (multiplicity 1)
F  0.203  0.300  0.903 (multiplicity 1)
F  0.204  0.971  0.246 (multiplicity 1)
F  0.308  0.149  0.573 (multiplicity 1)
F  0.810  0.704  0.114 (multiplicity 1)

Most intense lines, 2θ from 10° to 90°, in order of rising 2θ:
2theta	d (Å)	intensity
26.14	3.409	100
27.46	3.248	100
34.70	2.585	99
40.25	2.240	23
51.83	1.764	46
53.33	1.718	42
59.76	1.547	20
66.83	1.400	20

(4)
Simulated powder X-ray diffraction pattern of VOF3 for Cu Kα, from a structure optimized by DFT (GGA+U).
Neutral-atom scattering factors, no anomalous dispersion.

a = 5.474 Å, b = 5.549 Å, c = 10.329 Å
α = 90.00°, β = 90.00°, γ = 90.00°
Space group P2_12_12_1 (No. 19)
Symmetry-distinct sites (fractional):
V  0.210  0.110  0.101 (multiplicity 4)
O  0.107  0.739  0.506 (multiplicity 4)
F  0.076  0.304  0.218 (multiplicity 4)
F  0.083  0.025  0.709 (multiplicity 4)
F  0.119  0.840  0.025 (multiplicity 4)

Most intense lines, 2θ from 10° to 90°, in order of rising 2θ:
2theta	d (Å)	intensity
18.15	4.888	47
22.82	3.897	79
23.53	3.780	63
23.68	3.757	100
24.41	3.646	36
37.37	2.407	21
40.70	2.217	32
58.17	1.586	16